# 1
# SrLi2Zn2
Calculated X-ray powder pattern, Cu Ka. Input: a crystal structure in Alexandria, relaxed with PBE.
No peak broadening, texture or thermal motion is included.

Largest 12 diffraction maxima, by angle, 10° ≤ 2θ ≤ 90°:
4.080 Å, I = 92; 3.771 Å, I = 13; 3.019 Å, I = 76; 2.514 Å, I = 20; 2.427 Å, I = 100; 2.140 Å, I = 20; 2.040 Å, I = 20; 1.888 Å, I = 14; 1.714 Å, I = 16; 1.701 Å, I = 15; 1.690 Å, I = 29; 1.415 Å, I = 16

Crystal structure
```
10
Lattice="-4.0796 7.5410 1.8883 4.0796 -7.5410 1.8883 4.0796 7.5410 -1.8883" Properties=species:S:1:pos:R:3 pbc="T T T"
Sr 0.0000 3.7705 0.9069
Sr 4.0796 3.7705 0.9814
Li 2.0398 8.5978 -0.9441
Li 2.0398 1.0568 0.9441
Li -2.0398 6.4842 0.9441
Li 2.0398 6.4842 0.9441
Zn 4.0796 -0.9201 0.9402
Zn 4.0796 6.6209 -0.9402
Zn 0.0000 0.9201 2.8285
Zn 0.0000 8.4611 0.9480
```

=====

# 2
# Ca2Zn6GaRh
Calculated X-ray powder pattern, Cu Ka. Input: a crystal structure in Alexandria, relaxed with PBE.
No peak broadening, texture or thermal motion is included.

Largest 12 diffraction maxima, by angle, 10° ≤ 2θ ≤ 90°:
4.823 Å, I = 75; 4.431 Å, I = 53; 2.781 Å, I = 35; 2.631 Å, I = 100; 2.327 Å, I = 67; 2.216 Å, I = 67; 2.169 Å, I = 78; 2.118 Å, I = 33; 1.886 Å, I = 37; 1.868 Å, I = 33; 1.784 Å, I = 55; 1.390 Å, I = 27

Crystal structure
```
20
Lattice="7.1425 0.0000 0.0000 0.0000 8.8621 0.0000 0.0000 0.0000 6.5390" Properties=species:S:1:pos:R:3 pbc="T T T"
Ca 1.7856 0.2016 1.5840
Ca 1.7856 4.2295 1.5840
Ca 5.3569 4.6327 4.9550
Ca 5.3569 8.6605 4.9550
Zn 0.3547 2.2155 5.7737
Zn 0.5125 6.6466 3.6419
Zn 1.7856 4.4582 4.7837
Zn 1.7856 8.8350 4.7837
Zn 3.0588 6.6466 3.6419
Zn 3.2166 2.2155 5.7737
Zn 3.9260 6.6466 0.7653
Zn 4.0838 2.2155 2.8972
Zn 5.3569 0.0272 1.7553
Zn 5.3569 4.4039 1.7553
Zn 6.6301 2.2155 2.8972
Zn 6.7878 6.6466 0.7653
Ga 1.7856 6.6466 6.0752
Ga 5.3569 2.2155 0.4638
Rh 1.7856 2.2155 3.7327
Rh 5.3569 6.6466 2.8063
```

=====

# 3
# Li2GaNi5
Calculated X-ray powder pattern, Cu Ka. Input: a crystal structure in Alexandria, relaxed with PBE.
No peak broadening, texture or thermal motion is included.

Largest 12 diffraction maxima, by angle, 10° ≤ 2θ ≤ 90°:
4.047 Å, I = 36; 2.862 Å, I = 11; 2.744 Å, I = 5; 2.271 Å, I = 15; 2.024 Å, I = 54; 1.981 Å, I = 100; 1.810 Å, I = 7; 1.511 Å, I = 8; 1.431 Å, I = 16; 1.372 Å, I = 7; 1.160 Å, I = 31; 1.136 Å, I = 15

Crystal structure
```
8
Lattice="-2.8620 2.8620 2.7437 2.8620 -2.8620 2.7437 2.8620 2.8620 -2.7437" Properties=species:S:1:pos:R:3 pbc="T T T"
Li 2.8620 0.0000 0.0000
Li 0.0000 2.8620 0.0000
Ga 0.0000 0.0000 0.0000
Ni 1.4310 1.4310 -1.3718
Ni 1.4310 -1.4310 1.3718
Ni -1.4310 1.4310 1.3718
Ni 0.0000 0.0000 2.7437
Ni 1.4310 1.4310 1.3718
```

=====

# 4
# CaRe3
Calculated X-ray powder pattern, Cu Ka. Input: a crystal structure in Alexandria, relaxed with PBE.
No peak broadening, texture or thermal motion is included.

Largest 12 diffraction maxima, by angle, 10° ≤ 2θ ≤ 90°:
4.779 Å, I = 8; 2.389 Å, I = 24; 2.270 Å, I = 100; 2.252 Å, I = 26; 2.005 Å, I = 19; 1.639 Å, I = 15; 1.574 Å, I = 8; 1.355 Å, I = 13; 1.304 Å, I = 17; 1.290 Å, I = 9; 1.207 Å, I = 9; 1.135 Å, I = 10

Crystal structure
```
4
Lattice="1.5740 -2.2517 0.0000 1.5740 2.2517 0.0000 0.0000 0.0000 9.5578" Properties=species:S:1:pos:R:3 pbc="T T T"
Ca 0.0000 0.0000 0.0000
Re 0.0000 0.0000 4.7789
Re 1.5740 0.0000 2.6158
Re 1.5740 0.0000 6.9420
```

=====

# 5
# AcLuSc
Calculated X-ray powder pattern, Cu Ka. Input: a crystal structure in Alexandria, relaxed with PBE.
No peak broadening, texture or thermal motion is included.

Largest 12 diffraction maxima, by angle, 10° ≤ 2θ ≤ 90°:
4.893 Å, I = 37; 2.864 Å, I = 100; 2.825 Å, I = 77; 2.446 Å, I = 7; 2.011 Å, I = 37; 1.638 Å, I = 39; 1.631 Å, I = 15; 1.497 Å, I = 23; 1.412 Å, I = 9; 1.267 Å, I = 17; 1.198 Å, I = 11; 1.103 Å, I = 9

Crystal structure
```
3
Lattice="5.6494 0.0000 0.0000 -2.8247 4.8925 0.0000 0.0000 0.0000 3.5321" Properties=species:S:1:pos:R:3 pbc="T T T"
Ac 0.0000 0.0000 0.0000
Lu 0.0000 3.2617 1.7661
Sc 2.8247 1.6308 1.7661
```

=====

# 6
# Gd2AlGa
Calculated X-ray powder pattern, Cu Ka. Input: a crystal structure in Alexandria, relaxed with PBE.
No peak broadening, texture or thermal motion is included.

Largest 12 diffraction maxima, by angle, 10° ≤ 2θ ≤ 90°:
3.638 Å, I = 16; 3.615 Å, I = 32; 2.564 Å, I = 100; 2.556 Å, I = 50; 2.091 Å, I = 15; 1.819 Å, I = 9; 1.807 Å, I = 18; 1.618 Å, I = 13; 1.482 Å, I = 18; 1.477 Å, I = 36; 1.282 Å, I = 11; 1.143 Å, I = 16

Crystal structure
```
4
Lattice="3.6147 0.0000 0.0000 0.0000 3.6147 0.0000 0.0000 0.0000 7.2754" Properties=species:S:1:pos:R:3 pbc="T T T"
Gd 0.0000 0.0000 1.7975
Gd 0.0000 0.0000 5.4779
Al 1.8073 1.8073 3.6377
Ga 1.8073 1.8073 0.0000
```

=====

Q: Number 5 is which compound?
A: AcLuSc

=====

Q: Number 1 is which compound?
A: SrLi2Zn2